This entry pairs a crystal structure of SrYSe with its calculated X-ray diffraction stick pattern. Radiation: Cu Kα (λ = 1.5418 Å). Structure: a PBE-relaxed structure.

Structure:
```
SrYSe
1.0
4.0507 0.0000 0.0000
-2.0254 3.5080 0.0000
0.0000 0.0000 6.9886
Sr Y Se
1 1 1
Cartesian
0.0000 0.0000 0.0000
2.0254 1.1693 3.2550
0.0000 2.3387 4.9478
```

Largest 10 diffraction maxima, sorted by position, 2θ from 5° to 70°:
2theta	d [Å]	I_rel
12.67	6.989	14
25.49	3.494	7
28.47	3.135	100
36.29	2.476	46
44.75	2.025	30
46.81	1.941	19
53.89	1.701	16
58.92	1.568	11
60.58	1.528	6
66.76	1.401	7

***

This entry pairs a crystal structure of Ta4Se with its calculated X-ray diffraction stick pattern. Radiation: Cu Kα (λ = 1.5418 Å). Structure: a PBE-relaxed structure.

Structure:
```
Ta4Se
1.0
-1.8172 1.8172 7.5590
1.8172 -1.8172 7.5590
1.8172 1.8172 -7.5590
Ta Se
4 1
Cartesian
0.0000 0.0000 1.4535
1.8172 0.0000 3.7795
0.0000 1.8172 3.7795
0.0000 0.0000 13.6646
0.0000 0.0000 7.5590
```

Largest 10 diffraction maxima, sorted by position, 2θ from 5° to 70°:
2theta	d [Å]	I_rel
11.71	7.559	26
25.20	3.534	38
30.32	2.948	15
35.63	2.520	31
36.94	2.433	100
38.74	2.324	52
42.54	2.125	63
50.20	1.817	42
63.07	1.474	24
65.16	1.432	23